Diffraction record for K2SnAuO4. The X-ray diffraction stick pattern is computed, not measured: it uses DFT lattice parameters and positions (GGA-PBE) and Cu Kα (λ = 1.5418 Å).
No peak broadening, texture or thermal motion is included.

Crystal structure
Unit cell a=5.7271 b=5.7271 c=5.7271 alpha=112.09 beta=112.09 gamma=104.35
Sites, in units of the cell vectors:
K 0.0000 0.0000 0.0000
K 0.7500 0.2500 0.5000
Sn 0.2500 0.7500 0.5000
Au 0.5000 0.5000 0.0000
O 0.2709 0.7191 0.1479
O 0.2809 0.4289 0.5518
O 0.5711 0.1229 0.8521
O 0.8771 0.7291 0.4482

Most intense lines, 5° ≤ 2θ ≤ 70°, by angle:
- 2θ 18.8, rel. 83.3
- 2θ 27.9, rel. 60.4
- 2θ 32.3, rel. 100.0
- 2θ 33.8, rel. 31.4
- 2θ 39.9, rel. 31.0
- 2θ 50.4, rel. 13.3
- 2θ 52.2, rel. 60.8
- 2θ 60.1, rel. 18.0
- 2θ 65.2, rel. 14.2
- 2θ 67.6, rel. 22.4



Diffraction record for K4Tl3AuO8. The X-ray diffraction stick pattern is computed, not measured: it uses DFT lattice parameters and positions (GGA-PBE) and Cu Kα (λ = 1.5418 Å).
No peak broadening, texture or thermal motion is included.

Crystal structure
Unit cell a=7.3340 b=7.3340 c=7.2346 alpha=118.06 beta=118.06 gamma=54.25
Sites, in units of the cell vectors:
K 0.0000 0.0000 0.0000
K 0.0000 0.5000 0.0000
K 0.5000 0.0000 0.0000
K 0.5000 0.5000 0.0000
Tl 0.0000 0.0000 0.5000
Tl 0.0000 0.5000 0.5000
Tl 0.5000 0.0000 0.5000
Au 0.5000 0.5000 0.5000
O 0.2270 0.2270 0.2780
O 0.2321 0.2321 0.7000
O 0.2618 0.7128 0.6814
O 0.2872 0.7382 0.3186
O 0.7128 0.2618 0.6814
O 0.7382 0.2872 0.3186
O 0.7679 0.7679 0.3000
O 0.7730 0.7730 0.7220

Most intense lines, 5° ≤ 2θ ≤ 70°, by angle:
- 2θ 14.4, rel. 100.0
- 2θ 27.4, rel. 21.6
- 2θ 29.1, rel. 31.9
- 2θ 29.9, rel. 29.1
- 2θ 30.6, rel. 26.8
- 2θ 31.2, rel. 49.8
- 2θ 32.3, rel. 39.1
- 2θ 36.6, rel. 53.8
- 2θ 49.1, rel. 22.1
- 2θ 50.2, rel. 21.2



Diffraction record for KZnAuO2. The X-ray diffraction stick pattern is computed, not measured: it uses DFT lattice parameters and positions (GGA-PBE) and Cu Kα (λ = 1.5418 Å).
No peak broadening, texture or thermal motion is included.

Crystal structure
Unit cell a=6.6364 b=6.6364 c=5.3327 alpha=90.00 beta=90.00 gamma=128.10
Sites, in units of the cell vectors:
K 0.2500 0.7500 0.7919
K 0.7500 0.2500 0.2081
Zn 0.2500 0.2500 0.0000
Zn 0.7500 0.7500 0.0000
Au 0.0000 0.0000 0.5000
Au 0.5000 0.5000 0.5000
O 0.0944 0.9056 0.1691
O 0.4056 0.5944 0.1691
O 0.5944 0.4056 0.8309
O 0.9056 0.0944 0.8309

Most intense lines, 5° ≤ 2θ ≤ 70°, by angle:
- 2θ 14.8, rel. 100.0
- 2θ 22.4, rel. 22.8
- 2θ 29.9, rel. 27.5
- 2θ 30.8, rel. 12.8
- 2θ 35.2, rel. 26.1
- 2θ 36.9, rel. 34.4
- 2θ 38.4, rel. 52.4
- 2θ 45.6, rel. 17.6
- 2θ 46.9, rel. 28.9
- 2θ 58.9, rel. 16.9